Starting from a structure optimized by DFT (PBE), the powder X-ray diffraction pattern of Li2AgF3 was computed for Cu Kα (λ = 1.5418 Å).
No peak broadening, texture or thermal motion is included.

Largest 10 diffraction maxima, most intense first, 2θ from 5° to 70°:
2θ 10.76, 8.221 Å, rel. 100; 2θ 41.23, 2.190 Å, rel. 65; 2θ 36.40, 2.468 Å, rel. 38; 2θ 34.67, 2.588 Å, rel. 27; 2θ 21.62, 4.110 Å, rel. 22; 2θ 48.38, 1.881 Å, rel. 19; 2θ 57.24, 1.609 Å, rel. 15; 2θ 62.13, 1.494 Å, rel. 12; 2θ 44.06, 2.055 Å, rel. 9; 2θ 63.27, 1.470 Å, rel. 7

```
data_Li2AgF3
_space_group_name_H-M_alt 'P -3 m 1'
_space_group_IT_number 164
_space_group_name_Hall '-P 3 2"'
_cell_length_a 2.9879
_cell_length_b 2.9879
_cell_length_c 8.2210
_cell_angle_alpha 90.00
_cell_angle_beta 90.00
_cell_angle_gamma 120.00
loop_
_atom_site_label
_atom_site_type_symbol
_atom_site_fract_x
_atom_site_fract_y
_atom_site_fract_z
_atom_site_occupancy
Li1 Li 0.3333 0.6667 0.1416 1
Ag1 Ag 0.0000 0.0000 0.5000 1
F1 F 0.0000 0.0000 0.0000 1
F2 F 0.3333 0.6667 0.7231 1
```

***

Starting from a structure optimized by DFT (PBE), the powder X-ray diffraction pattern of LiAgF3 was computed for Cu Kα (λ = 1.5418 Å).
No peak broadening, texture or thermal motion is included.

Largest 10 diffraction maxima, most intense first, 2θ from 5° to 70°:
2θ 17.64, 5.028 Å, rel. 100; 2θ 20.05, 4.428 Å, rel. 69; 2θ 36.21, 2.481 Å, rel. 41; 2θ 36.78, 2.444 Å, rel. 40; 2θ 32.83, 2.728 Å, rel. 38; 2θ 45.02, 2.014 Å, rel. 33; 2θ 39.29, 2.293 Å, rel. 31; 2θ 28.09, 3.176 Å, rel. 29; 2θ 48.13, 1.891 Å, rel. 29; 2θ 20.83, 4.265 Å, rel. 25

```
data_LiAgF3
_space_group_name_H-M_alt 'P -1'
_space_group_IT_number 2
_cell_length_a 5.4252
_cell_length_b 5.4655
_cell_length_c 5.7043
_cell_angle_alpha 63.51
_cell_angle_beta 85.85
_cell_angle_gamma 62.00
loop_
_space_group_symop_operation_xyz
'x,y,z'
'-x,-y,-z'
loop_
_atom_site_label
_atom_site_type_symbol
_atom_site_fract_x
_atom_site_fract_y
_atom_site_fract_z
_atom_site_occupancy
Li1 Li 0.1250 0.1514 0.4359 1
Ag1 Ag 0.3383 0.3460 0.0417 1
F1 F 0.0915 0.4302 0.2955 1
F2 F 0.2028 0.9821 0.7381 1
F3 F 0.4384 0.7573 0.2523 1
```

***

Starting from a structure optimized by DFT (PBE), the powder X-ray diffraction pattern of LiAgF3 was computed for Cu Kα (λ = 1.5418 Å).
No peak broadening, texture or thermal motion is included.

Largest 10 diffraction maxima, most intense first, 2θ from 5° to 70°:
2θ 17.64, 5.028 Å, rel. 100; 2θ 20.07, 4.425 Å, rel. 61; 2θ 34.58, 2.594 Å, rel. 54; 2θ 38.22, 2.355 Å, rel. 39; 2θ 48.12, 1.891 Å, rel. 31; 2θ 39.41, 2.287 Å, rel. 31; 2θ 28.09, 3.176 Å, rel. 29; 2θ 46.95, 1.935 Å, rel. 29; 2θ 32.26, 2.775 Å, rel. 26; 2θ 18.81, 4.718 Å, rel. 25

```
data_LiAgF3
_space_group_name_H-M_alt 'P -1'
_space_group_IT_number 2
_cell_length_a 5.4252
_cell_length_b 5.4655
_cell_length_c 5.7043
_cell_angle_alpha 63.51
_cell_angle_beta 85.85
_cell_angle_gamma 62.00
loop_
_space_group_symop_operation_xyz
'x,y,z'
'-x,-y,-z'
loop_
_atom_site_label
_atom_site_type_symbol
_atom_site_fract_x
_atom_site_fract_y
_atom_site_fract_z
_atom_site_occupancy
Li1 Li 0.1250 0.2155 0.4359 1
Ag1 Ag 0.3383 0.8043 0.0417 1
F1 F 0.0915 0.6347 0.2955 1
F2 F 0.2028 0.7440 0.7381 1
F3 F 0.4384 0.0050 0.2523 1
```

***

Starting from a structure optimized by DFT (PBE), the powder X-ray diffraction pattern of Li2AgF6 was computed for Cu Kα (λ = 1.5418 Å).
No peak broadening, texture or thermal motion is included.

Largest 10 diffraction maxima, most intense first, 2θ from 5° to 70°:
2θ 20.88, 4.255 Å, rel. 100; 2θ 26.35, 3.382 Å, rel. 46; 2θ 51.91, 1.762 Å, rel. 32; 2θ 32.72, 2.737 Å, rel. 32; 2θ 19.05, 4.659 Å, rel. 32; 2θ 43.41, 2.085 Å, rel. 28; 2θ 39.39, 2.287 Å, rel. 17; 2θ 34.43, 2.605 Å, rel. 16; 2θ 42.49, 2.127 Å, rel. 15; 2θ 65.85, 1.418 Å, rel. 15

```
data_Li2AgF6
_space_group_name_H-M_alt 'P 42/m n m'
_space_group_IT_number 136
_space_group_name_Hall '-P 4n 2n'
_cell_length_a 4.7827
_cell_length_b 4.7827
_cell_length_c 9.3171
_cell_angle_alpha 90.00
_cell_angle_beta 90.00
_cell_angle_gamma 90.00
loop_
_atom_site_label
_atom_site_type_symbol
_atom_site_fract_x
_atom_site_fract_y
_atom_site_fract_z
_atom_site_occupancy
Li1 Li 0.0000 0.0000 0.1633 1
Ag1 Ag 0.0000 0.0000 0.5000 1
F1 F 0.1924 0.1924 0.3352 1
F2 F 0.1953 0.1953 0.0000 1
```

***

Starting from a structure optimized by DFT (PBE), the powder X-ray diffraction pattern of LiAgF3 was computed for Cu Kα (λ = 1.5418 Å).
No peak broadening, texture or thermal motion is included.

Largest 10 diffraction maxima, most intense first, 2θ from 5° to 70°:
2θ 18.02, 4.922 Å, rel. 100; 2θ 35.65, 2.518 Å, rel. 42; 2θ 29.52, 3.026 Å, rel. 40; 2θ 42.14, 2.145 Å, rel. 39; 2θ 24.03, 3.703 Å, rel. 38; 2θ 13.05, 6.784 Å, rel. 36; 2θ 33.34, 2.687 Å, rel. 34; 2θ 30.69, 2.913 Å, rel. 30; 2θ 29.71, 3.007 Å, rel. 28; 2θ 54.55, 1.682 Å, rel. 18

```
data_LiAgF3
_space_group_name_H-M_alt 'C 1 2/c 1'
_space_group_IT_number 15
_cell_length_a 9.8576
_cell_length_b 9.3633
_cell_length_c 6.0606
_cell_angle_alpha 90.00
_cell_angle_beta 93.08
_cell_angle_gamma 90.00
loop_
_space_group_symop_operation_xyz
'x,y,z'
'-x,-y,-z'
'-x,y,-z+1/2'
'x,-y,z+1/2'
'x+1/2,y+1/2,z'
'-x+1/2,-y+1/2,-z'
'-x+1/2,y+1/2,-z+1/2'
'x+1/2,-y+1/2,z+1/2'
loop_
_atom_site_label
_atom_site_type_symbol
_atom_site_fract_x
_atom_site_fract_y
_atom_site_fract_z
_atom_site_occupancy
Li1 Li 0.1846 0.0868 0.3054 1
Ag1 Ag 0.0000 0.2102 0.7500 1
Ag2 Ag 0.0000 0.4093 0.2500 1
F1 F 0.1148 0.4089 0.6643 1
F2 F 0.1249 0.2528 0.1431 1
F3 F 0.1364 0.0616 0.6047 1
```

***

Starting from a structure optimized by DFT (PBE), the powder X-ray diffraction pattern of LiAg2F6 was computed for Cu Kα (λ = 1.5418 Å).
No peak broadening, texture or thermal motion is included.

Largest 10 diffraction maxima, most intense first, 2θ from 5° to 70°:
2θ 26.65, 3.345 Å, rel. 100; 2θ 19.12, 4.643 Å, rel. 31; 2θ 50.94, 1.793 Å, rel. 29; 2θ 43.25, 2.092 Å, rel. 21; 2θ 33.43, 2.681 Å, rel. 18; 2θ 55.74, 1.649 Å, rel. 16; 2θ 60.98, 1.519 Å, rel. 14; 2θ 42.23, 2.140 Å, rel. 9; 2θ 38.42, 2.343 Å, rel. 9; 2θ 59.75, 1.548 Å, rel. 8

```
data_LiAg2F6
_space_group_name_H-M_alt 'P 3 2 1'
_space_group_IT_number 150
_cell_length_a 9.2856
_cell_length_b 9.2856
_cell_length_c 4.8230
_cell_angle_alpha 90.00
_cell_angle_beta 90.00
_cell_angle_gamma 120.00
loop_
_space_group_symop_operation_xyz
'x,y,z'
'-y,x-y,z'
'-x+y,-x,z'
'y,x,-z'
'x-y,-y,-z'
'-x,-x+y,-z'
loop_
_atom_site_label
_atom_site_type_symbol
_atom_site_fract_x
_atom_site_fract_y
_atom_site_fract_z
_atom_site_occupancy
Li1 Li 0.0000 0.0000 0.0000 1
Li2 Li 0.3333 0.6667 0.5146 1
Ag1 Ag 0.0000 0.3053 0.5000 1
Ag2 Ag 0.0000 0.6377 0.0000 1
F1 F 0.1019 0.8861 0.2381 1
F2 F 0.1145 0.5202 0.2723 1
F3 F 0.1990 0.7426 0.7422 1
```

***

Starting from a structure optimized by DFT (PBE), the powder X-ray diffraction pattern of LiAgF3 was computed for Cu Kα (λ = 1.5418 Å).
No peak broadening, texture or thermal motion is included.

Largest 10 diffraction maxima, most intense first, 2θ from 5° to 70°:
2θ 25.82, 3.450 Å, rel. 100; 2θ 49.13, 1.854 Å, rel. 25; 2θ 18.87, 4.704 Å, rel. 19; 2θ 32.98, 2.716 Å, rel. 17; 2θ 42.35, 2.134 Å, rel. 14; 2θ 54.70, 1.678 Å, rel. 11; 2θ 40.38, 2.234 Å, rel. 10; 2θ 44.71, 2.027 Å, rel. 9; 2θ 59.25, 1.560 Å, rel. 9; 2θ 40.13, 2.247 Å, rel. 9

```
data_LiAgF3
_space_group_name_H-M_alt 'P 61 2 2'
_space_group_IT_number 178
_space_group_name_Hall 'P 61 2 (0 0 5)'
_cell_length_a 5.4314
_cell_length_b 5.4314
_cell_length_c 15.2307
_cell_angle_alpha 90.00
_cell_angle_beta 90.00
_cell_angle_gamma 120.00
loop_
_atom_site_label
_atom_site_type_symbol
_atom_site_fract_x
_atom_site_fract_y
_atom_site_fract_z
_atom_site_occupancy
Li1 Li 0.0494 0.0989 0.2500 1
Ag1 Ag 0.2942 0.5883 0.7500 1
F1 F 0.0000 0.2353 0.8333 1
F2 F 0.0826 0.3672 0.1564 1
```

***

Starting from a structure optimized by DFT (PBE), the powder X-ray diffraction pattern of LiAgF3 was computed for Cu Kα (λ = 1.5418 Å).
No peak broadening, texture or thermal motion is included.

Largest 10 diffraction maxima, most intense first, 2θ from 5° to 70°:
2θ 16.98, 5.222 Å, rel. 100; 2θ 28.41, 3.141 Å, rel. 90; 2θ 40.21, 2.243 Å, rel. 68; 2θ 50.73, 1.800 Å, rel. 61; 2θ 32.80, 2.731 Å, rel. 59; 2θ 27.85, 3.203 Å, rel. 56; 2θ 22.61, 3.932 Å, rel. 55; 2θ 41.52, 2.175 Å, rel. 30; 2θ 57.79, 1.595 Å, rel. 24; 2θ 65.43, 1.426 Å, rel. 23

```
data_LiAgF3
_space_group_name_H-M_alt 'C m m m'
_space_group_IT_number 65
_space_group_name_Hall '-C 2 2'
_cell_length_a 7.8637
_cell_length_b 10.4442
_cell_length_c 3.2035
_cell_angle_alpha 90.00
_cell_angle_beta 90.00
_cell_angle_gamma 90.00
loop_
_atom_site_label
_atom_site_type_symbol
_atom_site_fract_x
_atom_site_fract_y
_atom_site_fract_z
_atom_site_occupancy
Li1 Li 0.2500 0.2500 0.0000 1
Ag1 Ag 0.0000 0.0000 0.5000 1
Ag2 Ag 0.0000 0.5000 0.5000 1
F1 F 0.0000 0.1436 0.0000 1
F2 F 0.1878 0.3615 0.5000 1
```

***

Starting from a structure optimized by DFT (PBE), the powder X-ray diffraction pattern of LiAgF3 was computed for Cu Kα (λ = 1.5418 Å).
No peak broadening, texture or thermal motion is included.

Largest 10 diffraction maxima, most intense first, 2θ from 5° to 70°:
2θ 23.14, 3.845 Å, rel. 100; 2θ 21.64, 4.106 Å, rel. 65; 2θ 31.79, 2.815 Å, rel. 49; 2θ 53.07, 1.726 Å, rel. 42; 2θ 25.52, 3.491 Å, rel. 34; 2θ 36.87, 2.438 Å, rel. 31; 2θ 40.53, 2.226 Å, rel. 31; 2θ 32.00, 2.797 Å, rel. 30; 2θ 25.65, 3.473 Å, rel. 29; 2θ 33.71, 2.659 Å, rel. 27

```
data_LiAgF3
_space_group_name_H-M_alt 'P 1 21/c 1'
_space_group_IT_number 14
_cell_length_a 5.2709
_cell_length_b 5.6200
_cell_length_c 9.7185
_cell_angle_alpha 90.00
_cell_angle_beta 122.33
_cell_angle_gamma 90.00
loop_
_space_group_symop_operation_xyz
'x,y,z'
'-x,-y,-z'
'-x,y+1/2,-z+1/2'
'x,-y+1/2,z+1/2'
loop_
_atom_site_label
_atom_site_type_symbol
_atom_site_fract_x
_atom_site_fract_y
_atom_site_fract_z
_atom_site_occupancy
Li1 Li 0.0000 0.0000 0.0000 1
Li2 Li 0.5000 0.0000 0.5000 1
Ag1 Ag 0.2278 0.0817 0.7078 1
F1 F 0.1114 0.0621 0.2506 1
F2 F 0.2679 0.7034 0.0716 1
F3 F 0.3720 0.2123 0.0763 1
```